For MgHg3, a cell relaxed with GGA-PBE gives the simulated XRD peak list in this record (copper Kα).
Neutral-atom scattering factors, no anomalous dispersion.

Most intense lines, 15 to 90 degrees two-theta, most intense first:
35.13°, intensity 100, (1 1 1); 38.00°, intensity 39, (0 1 2); 34.39°, intensity 34, (0 2 0); 30.51°, intensity 28, (1 0 1); 63.95°, intensity 20, (2 2 0); 62.07°, intensity 20, (1 3 1); 69.50°, intensity 18, (1 2 3); 46.63°, intensity 18, (1 2 1); 23.90°, intensity 16, (0 1 1); 66.27°, intensity 15, (2 1 2)

abc: 3.5110 5.2161 5.3158
angles: 90.00 90.00 90.00
Space group Pmm2 (No. 25)
Symmetry-distinct sites (fractional):
1 Mg 0.0000 0.0000 0.0000 [1 per cell]
2 Hg 0.0000 0.5000 0.6717 [1 per cell]
3 Hg 0.5000 0.0000 0.4998 [1 per cell]
4 Hg 0.5000 0.5000 0.1533 [1 per cell]

***

For Ti2ZnO4, a cell relaxed with GGA-PBE gives the simulated XRD peak list in this record (copper Kα).
Neutral-atom scattering factors, no anomalous dispersion.

Most intense lines, 15 to 90 degrees two-theta, most intense first:
24.77°, intensity 100, (1 1 1); 49.84°, intensity 85, (2 4 1); 34.62°, intensity 54, (1 3 1); 39.42°, intensity 50, (2 2 1); 28.83°, intensity 42, (1 2 1); 63.89°, intensity 41, (2 0 3); 50.03°, intensity 41, (0 4 2); 33.91°, intensity 38, (0 4 0); 35.41°, intensity 35, (2 0 1); 16.77°, intensity 34, (0 2 0)

abc: 5.8672 10.5748 5.0359
angles: 90.00 90.00 90.00
Space group Pmmn (No. 59, origin choice 2)
Symmetry-distinct sites (fractional):
1 Ti 0.0000 0.0000 0.0000 [4 per cell]
2 Ti 0.2500 0.0113 0.4698 [4 per cell]
3 Zn 0.2500 0.2500 0.8444 [2 per cell]
4 Zn 0.2500 0.7500 0.5357 [2 per cell]
5 O 0.0011 0.1150 0.6609 [8 per cell]
6 O 0.2500 0.1156 0.1376 [4 per cell]
7 O 0.2500 0.5997 0.8147 [4 per cell]

***

For Sn3S7, a cell relaxed with GGA-PBE gives the simulated XRD peak list in this record (copper Kα).
Neutral-atom scattering factors, no anomalous dispersion.

Most intense lines, 15 to 90 degrees two-theta, most intense first:
24.48°, intensity 100, (3 3 -2); 28.13°, intensity 80, (7 1 -1); 32.86°, intensity 80, (5 3 -4); 15.75°, intensity 64, (2 2 -1); 31.83°, intensity 62, (2 4 -3); 31.70°, intensity 61, (7 1 1); 23.52°, intensity 58, (3 3 0); 40.76°, intensity 57, (0 6 0); 28.47°, intensity 51, (5 3 -2); 20.25°, intensity 50, (1 1 3)

abc: 23.0193 13.2810 16.0627
angles: 90.00 108.18 90.00
Space group Cc (No. 9)
Symmetry-distinct sites (fractional):
1 Sn 0.0000 0.0330 0.0000 [4 per cell]
2 Sn 0.0060 0.3054 0.0003 [4 per cell]
3 Sn 0.1395 0.1601 0.0013 [4 per cell]
4 Sn 0.2862 0.1612 0.9768 [4 per cell]
5 Sn 0.4171 0.3062 0.9769 [4 per cell]
6 Sn 0.4251 0.0355 0.9801 [4 per cell]
7 S 0.0244 0.1668 0.8935 [4 per cell]
8 S 0.1104 0.0019 0.5525 [4 per cell]
9 S 0.1177 0.3242 0.0571 [4 per cell]
10 S 0.1765 0.1442 0.8751 [4 per cell]
11 S 0.2488 0.1642 0.1049 [4 per cell]
12 S 0.3057 0.3208 0.9128 [4 per cell]
13 S 0.3154 0.0111 0.9078 [4 per cell]
14 S 0.3991 0.1675 0.0854 [4 per cell]
15 S 0.4317 0.4441 0.8735 [4 per cell]
16 S 0.4566 0.0845 0.3761 [4 per cell]
17 S 0.4596 0.3280 0.5673 [4 per cell]
18 S 0.4737 0.1760 0.9251 [4 per cell]
19 S 0.4807 0.0697 0.6048 [4 per cell]
20 S 0.4810 0.4003 0.1043 [4 per cell]

***

For MgTe, a cell relaxed with GGA-PBE gives the simulated XRD peak list in this record (copper Kα).
Neutral-atom scattering factors, no anomalous dispersion.

Most intense lines, 15 to 90 degrees two-theta, most intense first:
29.89°, intensity 100, (2 0 0); 25.81°, intensity 83, (1 1 1); 42.78°, intensity 74, (2 2 0); 50.63°, intensity 39, (3 1 1); 70.43°, intensity 33, (4 2 0); 53.06°, intensity 26, (2 2 2); 78.34°, intensity 24, (4 2 2); 68.39°, intensity 16, (3 3 1); 84.13°, intensity 12, (5 1 1); 62.09°, intensity 12, (4 0 0)

abc: 5.9791 5.9791 5.9791
angles: 90.00 90.00 90.00
Space group Fm-3m (No. 225)
Symmetry-distinct sites (fractional):
1 Mg 0.0000 0.0000 0.0000 [4 per cell]
2 Te 0.0000 0.0000 0.5000 [4 per cell]

***

For La2MgSnO6, a cell relaxed with GGA-PBE gives the simulated XRD peak list in this record (copper Kα).
Neutral-atom scattering factors, no anomalous dispersion.

Most intense lines, 15 to 90 degrees two-theta, most intense first:
31.17°, intensity 100, (1 1 -3); 44.65°, intensity 38, (0 0 4); 31.59°, intensity 25, (2 0 -2); 56.00°, intensity 24, (3 1 -1); 30.69°, intensity 22, (0 2 0); 54.87°, intensity 13, (1 3 1); 21.90°, intensity 12, (0 0 2); 19.12°, intensity 11, (1 0 -2); 18.75°, intensity 11, (0 1 1); 73.90°, intensity 10, (1 1 5)

abc: 5.6638 5.8261 9.8815
angles: 90.00 124.84 90.00
Space group P2_1/c (No. 14)
Symmetry-distinct sites (fractional):
1 La 0.2397 0.0497 0.2504 [4 per cell]
2 Mg 0.0000 0.0000 0.5000 [2 per cell]
3 Sn 0.5000 0.0000 0.0000 [2 per cell]
4 O 0.1504 0.1971 0.9507 [4 per cell]
5 O 0.2562 0.7006 0.9512 [4 per cell]
6 O 0.3441 0.0316 0.7507 [4 per cell]